Starting from a GGA-PBE-relaxed structure, the X-ray powder pattern of Pm5Nd2Th2 was computed for a wavelength of 1.5418 Å.
No peak broadening, texture or thermal motion is included.

Atomic structure:
```
Pm5Nd2Th2
1.0
6.299 0.000 0.000
3.135 5.463 0.000
3.122 1.815 8.910
Pm Nd Th
5 2 2
Cartesian
0.000 0.000 0.000
4.195 3.648 3.004
5.236 1.825 5.909
7.319 5.453 3.001
8.361 3.630 5.906
3.110 1.839 0.000
9.445 5.439 8.910
5.195 5.496 5.910
7.360 1.782 3.000
```

Most intense lines, 15 to 90 degrees two-theta, low angle first:
2theta  d_spacing  Rel. int.
30.08  2.971  100
34.84  2.575  34
34.93  2.569  17
50.11  1.821  24
50.21  1.817  12
59.53  1.553  22
59.61  1.551  15
59.71  1.549  7
81.45  1.182  7
84.10  1.151  7